# 1
Calculated X-ray powder pattern
Compound: SrCaAl4Si4O20
Radiation: Cu Kα (λ = 1.5418 Å)
Structure: a crystal structure in the Materials Project, relaxed with PBE

Structural model:
```
data_SrCaAl4Si4O20
_chemical_formula_sum 'Sr1 Ca1 Al4 Si4 O20'
_cell_length_a 5.353
_cell_length_b 13.114
_cell_length_c 5.394
_cell_angle_alpha 90.00
_cell_angle_beta 113.09
_cell_angle_gamma 90.00
_space_group_name_H-M_alt 'P 1 m 1'
_space_group_IT_number 6
loop_
_space_group_symop_operation_xyz
'x,y,z'
'x,-y,z'
loop_
_atom_site_label
_atom_site_fract_x
_atom_site_fract_y
_atom_site_fract_z
_atom_site_occupancy
Sr1 0.000 0.000 0.000 1
Ca1 0.650 0.500 0.320 1
Al1 0.320 0.252 0.163 1
Al2 0.818 0.252 0.661 1
Si1 0.303 0.381 0.688 1
Si2 0.334 0.122 0.636 1
O1 0.178 0.182 0.803 1
O2 0.203 0.144 0.314 1
O3 0.271 0.000 0.681 1
O4 0.374 0.500 0.630 1
O5 0.433 0.363 0.014 1
O6 0.459 0.319 0.523 1
O7 0.642 0.000 0.233 1
O8 0.662 0.139 0.761 1
O9 0.669 0.191 0.315 1
O10 0.968 0.311 0.010 1
O11 0.973 0.367 0.563 1
O12 0.977 0.500 0.099 1
```

Peak list (10 most intense, 15° ≤ 2θ ≤ 90°, low angle first)
2θ/deg	I (rel.)	h k l
20.94	63	1 1 -1
27.23	70	0 3 1
32.77	100	0 4 1
33.19	70	1 2 1
33.70	50	2 0 -1
33.87	84	1 4 -1
36.23	46	0 0 2
41.87	51	0 3 2
42.12	45	2 3 0
59.04	54	3 4 -1

# 2
Calculated X-ray powder pattern
Compound: Pr2Al3Ge
Radiation: Cu Kα (λ = 1.5418 Å)
Structure: a crystal structure in the Materials Project, relaxed with PBE

Structural model:
```
data_Pr2Al3Ge
_chemical_formula_sum 'Pr2 Al3 Ge1'
_cell_length_a 4.330
_cell_length_b 4.363
_cell_length_c 7.545
_cell_angle_alpha 90.00
_cell_angle_beta 90.00
_cell_angle_gamma 90.00
_space_group_name_H-M_alt 'P m m 2'
_space_group_IT_number 25
loop_
_space_group_symop_operation_xyz
'x,y,z'
'-x,-y,z'
'-x,y,z'
'x,-y,z'
loop_
_atom_site_label
_atom_site_fract_x
_atom_site_fract_y
_atom_site_fract_z
_atom_site_occupancy
Pr1 0.000 0.000 0.000 1
Pr2 0.000 0.500 0.497 1
Al1 0.500 0.000 0.664 1
Al2 0.500 0.500 0.165 1
Al3 0.500 0.500 0.831 1
Ge1 0.500 0.000 0.333 1
```

Peak list (10 most intense, 15° ≤ 2θ ≤ 90°, low angle first)
2θ/deg	I (rel.)	h k l
23.56	50	0 0 2
31.43	100	1 1 1
31.45	49	1 0 2
41.42	51	0 2 0
41.72	17	2 0 0
48.47	15	2 0 2
52.91	34	1 0 4
60.25	33	2 2 0
69.36	20	1 2 4
69.76	15	3 1 1

# 3
Calculated X-ray powder pattern
Compound: Ti5S8
Radiation: Cu Kα (λ = 1.5418 Å)
Structure: a crystal structure in the Materials Project, relaxed with PBE

Structural model:
```
data_Ti5S8
_chemical_formula_sum 'Ti10 S16'
_cell_length_a 24.093
_cell_length_b 3.420
_cell_length_c 5.949
_cell_angle_alpha 90.00
_cell_angle_beta 103.40
_cell_angle_gamma 90.00
_space_group_name_H-M_alt 'C 1 m 1'
_space_group_IT_number 8
loop_
_space_group_symop_operation_xyz
'x,y,z'
'x,-y,z'
'x+1/2,y+1/2,z'
'x+1/2,-y+1/2,z'
loop_
_atom_site_label
_atom_site_fract_x
_atom_site_fract_y
_atom_site_fract_z
_atom_site_occupancy
Ti1 0.000 0.000 0.000 1
Ti2 0.000 0.500 0.481 1
Ti3 0.248 0.000 0.897 1
Ti4 0.250 0.500 0.403 1
Ti5 0.367 0.000 0.359 1
S1 0.058 0.500 0.878 1
S2 0.061 0.000 0.381 1
S3 0.188 0.500 0.679 1
S4 0.190 0.000 0.182 1
S5 0.312 0.000 0.641 1
S6 0.313 0.500 0.122 1
S7 0.435 0.500 0.594 1
S8 0.436 0.000 0.098 1
```

Peak list (10 most intense, 15° ≤ 2θ ≤ 90°, low angle first)
2θ/deg	I (rel.)	h k l
15.12	100	4 0 0
33.78	66	3 1 1
34.01	66	6 0 -2
37.73	27	4 0 2
37.96	77	5 1 1
38.28	93	8 0 -2
43.25	21	7 1 1
49.78	26	11 1 -1
53.41	69	3 1 -3
53.60	35	0 2 0